The following is a calculated PXRD pattern of Si7P6. It was derived from a cell relaxed with GGA-PBE, using a wavelength of 1.5418 Å.
Peak positions follow from Bragg's law for the DFT cell and can differ from measured ones.

Structure:
Cell lengths 9.0114, 9.0114, 9.0114 Å; angles 35.62, 35.62, 35.62 degrees
Element x y z (fractional)
Si: 0.0000 0.0000 0.0000
Si: 0.0958 0.0958 0.5721
Si: 0.0958 0.5721 0.0958
Si: 0.4279 0.9042 0.9042
Si: 0.5721 0.0958 0.0958
Si: 0.9042 0.4279 0.9042
Si: 0.9042 0.9042 0.4279
P: 0.1435 0.1435 0.1435
P: 0.3316 0.3316 0.3316
P: 0.4162 0.4162 0.4162
P: 0.5838 0.5838 0.5838
P: 0.6684 0.6684 0.6684
P: 0.8565 0.8565 0.8565

Largest 12 diffraction maxima, in order of rising 2θ, 10° ≤ 2θ ≤ 90°:
- 10.49 deg, 8.431 Å, intensity 60
- 21.08 deg, 4.215 Å, intensity 46
- 32.48 deg, 2.756 Å, intensity 100
- 37.86 deg, 2.377 Å, intensity 67
- 39.04 deg, 2.307 Å, intensity 71
- 40.38 deg, 2.234 Å, intensity 84
- 41.84 deg, 2.159 Å, intensity 72
- 42.91 deg, 2.108 Å, intensity 54
- 45.54 deg, 1.992 Å, intensity 87
- 55.49 deg, 1.656 Å, intensity 63
- 68.02 deg, 1.378 Å, intensity 62
- 83.88 deg, 1.153 Å, intensity 45


The following is a calculated PXRD pattern of Sm6SiTe3P2. It was derived from a cell relaxed with GGA-PBE, using a wavelength of 1.5418 Å.
Peak positions follow from Bragg's law for the DFT cell and can differ from measured ones.

Structure:
Cell lengths 9.7093, 9.7093, 8.7282 Å; angles 105.25, 105.25, 25.23 degrees
Element x y z (fractional)
Sm: 0.0076 0.0076 0.2335
Sm: 0.3251 0.3251 0.4365
Sm: 0.3406 0.3406 0.8965
Sm: 0.6594 0.6594 0.1035
Sm: 0.6749 0.6749 0.5635
Sm: 0.9924 0.9924 0.7665
Si: 0.5000 0.5000 0.0000
Te: 0.1670 0.1670 0.8326
Te: 0.5000 0.5000 0.5000
Te: 0.8330 0.8330 0.1674
P: 0.1675 0.1675 0.3351
P: 0.8325 0.8325 0.6649

Largest 12 diffraction maxima, in order of rising 2θ, 10° ≤ 2θ ≤ 90°:
- 24.60 deg, 3.619 Å, intensity 14
- 25.61 deg, 3.479 Å, intensity 14
- 29.37 deg, 3.041 Å, intensity 100
- 31.93 deg, 2.803 Å, intensity 16
- 41.40 deg, 2.181 Å, intensity 33
- 42.64 deg, 2.120 Å, intensity 38
- 52.63 deg, 1.739 Å, intensity 21
- 57.93 deg, 1.592 Å, intensity 11
- 60.97 deg, 1.520 Å, intensity 18
- 68.16 deg, 1.376 Å, intensity 9
- 69.96 deg, 1.345 Å, intensity 17
- 77.22 deg, 1.235 Å, intensity 13


The following is a calculated PXRD pattern of Sr3SiP4. It was derived from a cell relaxed with GGA-PBE, using a wavelength of 1.5418 Å.
Peak positions follow from Bragg's law for the DFT cell and can differ from measured ones.

Structure:
Cell lengths 8.1278, 10.2141, 9.5418 Å; angles 90.00, 90.00, 90.00 degrees
Element x y z (fractional)
Sr: 0.0409 0.0484 0.1893
Sr: 0.0409 0.4516 0.1893
Sr: 0.1670 0.7500 0.4166
Sr: 0.3330 0.2500 0.9166
Sr: 0.4591 0.5484 0.6893
Sr: 0.4591 0.9516 0.6893
Sr: 0.5409 0.0484 0.3107
Sr: 0.5409 0.4516 0.3107
Sr: 0.6670 0.7500 0.0834
Sr: 0.8330 0.2500 0.5834
Sr: 0.9591 0.5484 0.8107
Sr: 0.9591 0.9516 0.8107
Si: 0.2290 0.2500 0.4520
Si: 0.2710 0.7500 0.9520
Si: 0.7290 0.2500 0.0480
Si: 0.7710 0.7500 0.5480
P: 0.0498 0.7500 0.0927
P: 0.1249 0.0458 0.5329
P: 0.1249 0.4542 0.5329
P: 0.2055 0.7500 0.7288
P: 0.2945 0.2500 0.2288
P: 0.3751 0.5458 0.0329
P: 0.3751 0.9542 0.0329
P: 0.4502 0.2500 0.5927
P: 0.5498 0.7500 0.4073
P: 0.6249 0.0458 0.9671
P: 0.6249 0.4542 0.9671
P: 0.7055 0.7500 0.7712
P: 0.7945 0.2500 0.2712
P: 0.8751 0.5458 0.4671
P: 0.8751 0.9542 0.4671
P: 0.9502 0.2500 0.9073

Largest 12 diffraction maxima, in order of rising 2θ, 10° ≤ 2θ ≤ 90°:
- 23.80 deg, 3.739 Å, intensity 31
- 25.55 deg, 3.486 Å, intensity 28
- 27.83 deg, 3.205 Å, intensity 87
- 28.06 deg, 3.180 Å, intensity 80
- 29.41 deg, 3.037 Å, intensity 44
- 30.17 deg, 2.962 Å, intensity 66
- 34.38 deg, 2.608 Å, intensity 100
- 35.02 deg, 2.562 Å, intensity 52
- 35.14 deg, 2.554 Å, intensity 38
- 35.67 deg, 2.517 Å, intensity 40
- 40.10 deg, 2.249 Å, intensity 46
- 51.84 deg, 1.764 Å, intensity 28


The following is a calculated PXRD pattern of SiTc5P2. It was derived from a cell relaxed with GGA-PBE, using a wavelength of 1.5418 Å.
Peak positions follow from Bragg's law for the DFT cell and can differ from measured ones.

Structure:
Cell lengths 6.6643, 6.6643, 6.6643 Å; angles 154.28, 119.77, 66.58 degrees
Element x y z (fractional)
Si: 0.0000 0.0000 0.0000
Tc: 0.0953 0.3691 0.7262
Tc: 0.3571 0.6309 0.7262
Tc: 0.5000 0.0000 0.5000
Tc: 0.6429 0.3691 0.2738
Tc: 0.9047 0.6309 0.2738
P: 0.2923 0.7923 0.5000
P: 0.7077 0.2077 0.5000

Largest 12 diffraction maxima, in order of rising 2θ, 10° ≤ 2θ ≤ 90°:
- 26.66 deg, 3.344 Å, intensity 19
- 31.20 deg, 2.867 Å, intensity 18
- 33.03 deg, 2.712 Å, intensity 22
- 38.85 deg, 2.318 Å, intensity 59
- 41.49 deg, 2.176 Å, intensity 100
- 42.23 deg, 2.140 Å, intensity 83
- 47.75 deg, 1.905 Å, intensity 18
- 51.28 deg, 1.782 Å, intensity 28
- 54.92 deg, 1.672 Å, intensity 18
- 69.30 deg, 1.356 Å, intensity 18
- 73.18 deg, 1.293 Å, intensity 18
- 78.45 deg, 1.219 Å, intensity 46


The following is a calculated PXRD pattern of Y8Si3Te4P. It was derived from a cell relaxed with GGA-PBE, using a wavelength of 1.5418 Å.
Peak positions follow from Bragg's law for the DFT cell and can differ from measured ones.

Structure:
Cell lengths 8.5917, 8.5917, 8.5917 Å; angles 58.56, 58.56, 58.56 degrees
Element x y z (fractional)
Y: 0.2387 0.7386 0.7386
Y: 0.2399 0.2399 0.2399
Y: 0.2614 0.2614 0.7613
Y: 0.2614 0.7613 0.2614
Y: 0.7386 0.2387 0.7386
Y: 0.7386 0.7386 0.2387
Y: 0.7601 0.7601 0.7601
Y: 0.7613 0.2614 0.2614
Si: 0.0000 0.0000 0.5000
Si: 0.0000 0.5000 0.0000
Si: 0.5000 0.0000 0.0000
Te: 0.0000 0.0000 0.0000
Te: 0.0000 0.5000 0.5000
Te: 0.5000 0.0000 0.5000
Te: 0.5000 0.5000 0.0000
P: 0.5000 0.5000 0.5000

Largest 12 diffraction maxima, in order of rising 2θ, 10° ≤ 2θ ≤ 90°:
- 12.48 deg, 7.091 Å, intensity 7
- 24.82 deg, 3.587 Å, intensity 17
- 29.75 deg, 3.003 Å, intensity 100
- 32.37 deg, 2.765 Å, intensity 18
- 42.09 deg, 2.147 Å, intensity 33
- 43.05 deg, 2.101 Å, intensity 37
- 53.21 deg, 1.721 Å, intensity 19
- 58.81 deg, 1.570 Å, intensity 11
- 61.78 deg, 1.502 Å, intensity 10
- 69.36 deg, 1.355 Å, intensity 12
- 70.76 deg, 1.332 Å, intensity 16
- 78.26 deg, 1.222 Å, intensity 10